Record 1
Simulated powder X-ray diffraction pattern
Compound: ZnS
Radiation: Cu Kα, 1.54184 Å
Structure: a DFT-relaxed cell (GGA-PBE, the Materials Project)
Peak positions follow from Bragg's law for the DFT cell and can differ from measured ones.

Peak list (10 most intense, 10 to 90 degrees two-theta, in order of rising 2θ)
2θ 27.45, d 3.249, I = 16.9; 2θ 28.35, d 3.148, I = 100.0; 2θ 28.93, d 3.086, I = 13.4; 2θ 30.31, d 2.949, I = 10.5; 2θ 32.86, d 2.726, I = 9.3; 2θ 47.15, d 1.927, I = 74.3; 2θ 51.42, d 1.777, I = 7.5; 2θ 55.94, d 1.644, I = 49.8; 2θ 76.10, d 1.251, I = 12.2; 2θ 87.70, d 1.113, I = 19.1

Structural model:
```
ZnS
1.0
3.8540 0.0000 0.0000
-1.9270 3.3377 0.0000
0.0000 0.0000 56.6899
Zn S
18 18
direct
0.0000 0.0000 0.0000
0.0000 0.0000 0.1111
0.0000 0.0000 0.3333
0.0000 0.0000 0.5000
0.0000 0.0000 0.6667
0.0000 0.0000 0.8333
0.3333 0.6667 0.0556
0.3333 0.6667 0.2222
0.3333 0.6667 0.3889
0.3333 0.6667 0.5556
0.3333 0.6667 0.7778
0.3333 0.6667 0.8889
0.6667 0.3333 0.1667
0.6667 0.3333 0.2778
0.6667 0.3333 0.4444
0.6667 0.3333 0.6111
0.6667 0.3333 0.7222
0.6667 0.3333 0.9444
0.0000 0.0000 0.0416
0.0000 0.0000 0.1528
0.0000 0.0000 0.3750
0.0000 0.0000 0.5417
0.0000 0.0000 0.7084
0.0000 0.0000 0.8750
0.3333 0.6667 0.0973
0.3333 0.6667 0.2639
0.3333 0.6667 0.4306
0.3333 0.6667 0.5972
0.3333 0.6667 0.8194
0.3333 0.6667 0.9306
0.6667 0.3333 0.2083
0.6667 0.3333 0.3195
0.6667 0.3333 0.4861
0.6667 0.3333 0.6527
0.6667 0.3333 0.7639
0.6667 0.3333 0.9861
```

***

Record 2
Simulated powder X-ray diffraction pattern
Compound: ZnS
Radiation: Cu Kα, 1.54184 Å
Structure: a DFT-relaxed cell (GGA-PBE, the Materials Project)
Peak positions follow from Bragg's law for the DFT cell and can differ from measured ones.

Peak list (10 most intense, 10 to 90 degrees two-theta, in order of rising 2θ)
2θ 27.83, d 3.205, I = 35.5; 2θ 28.07, d 3.179, I = 76.2; 2θ 28.36, d 3.147, I = 81.5; 2θ 28.61, d 3.120, I = 39.3; 2θ 28.91, d 3.089, I = 48.5; 2θ 46.45, d 1.955, I = 28.6; 2θ 47.10, d 1.929, I = 100.0; 2θ 47.84, d 1.901, I = 17.3; 2θ 48.55, d 1.875, I = 23.3; 2θ 55.90, d 1.645, I = 66.8

Structural model:
```
ZnS
1.0
1.9295 1.1140 37.7622
-1.9295 1.1140 37.7622
0.0000 -2.2280 37.7622
Zn S
12 12
direct
0.0000 0.0000 0.0000
0.0556 0.0556 0.0556
0.1389 0.1389 0.1389
0.1945 0.1945 0.1945
0.2778 0.2778 0.2778
0.3611 0.3611 0.3611
0.4445 0.4445 0.4445
0.5556 0.5556 0.5556
0.6389 0.6389 0.6389
0.7500 0.7500 0.7500
0.8333 0.8333 0.8333
0.9167 0.9167 0.9167
0.0348 0.0348 0.0348
0.1181 0.1181 0.1181
0.1736 0.1736 0.1736
0.2570 0.2570 0.2570
0.3403 0.3403 0.3403
0.4236 0.4236 0.4236
0.5347 0.5347 0.5347
0.6181 0.6181 0.6181
0.7292 0.7292 0.7292
0.8125 0.8125 0.8125
0.8959 0.8959 0.8959
0.9792 0.9792 0.9792
```

***

Record 3
Simulated powder X-ray diffraction pattern
Compound: ZnS
Radiation: Cu Kα, 1.54184 Å
Structure: a DFT-relaxed cell (GGA-PBE, the Materials Project)
Peak positions follow from Bragg's law for the DFT cell and can differ from measured ones.

Peak list (10 most intense, 10 to 90 degrees two-theta, in order of rising 2θ)
2θ 28.07, d 3.179, I = 100.0; 2θ 28.36, d 3.147, I = 60.0; 2θ 28.91, d 3.089, I = 39.2; 2θ 33.31, d 2.689, I = 13.9; 2θ 46.45, d 1.955, I = 37.5; 2θ 47.10, d 1.929, I = 73.6; 2θ 48.55, d 1.875, I = 18.9; 2θ 55.73, d 1.649, I = 13.4; 2θ 55.90, d 1.645, I = 49.2; 2θ 87.59, d 1.114, I = 11.5

Structural model:
```
ZnS
1.0
1.9293 1.1139 37.7593
-1.9293 1.1139 37.7593
0.0000 -2.2278 37.7593
Zn S
12 12
direct
0.0000 0.0000 0.0000
0.0556 0.0556 0.0556
0.1111 0.1111 0.1111
0.1945 0.1945 0.1945
0.2778 0.2778 0.2778
0.3611 0.3611 0.3611
0.4722 0.4722 0.4722
0.5556 0.5556 0.5556
0.6389 0.6389 0.6389
0.7500 0.7500 0.7500
0.8333 0.8333 0.8333
0.9167 0.9167 0.9167
0.0348 0.0348 0.0348
0.0903 0.0903 0.0903
0.1736 0.1736 0.1736
0.2570 0.2570 0.2570
0.3403 0.3403 0.3403
0.4514 0.4514 0.4514
0.5347 0.5347 0.5347
0.6181 0.6181 0.6181
0.7292 0.7292 0.7292
0.8125 0.8125 0.8125
0.8959 0.8959 0.8959
0.9792 0.9792 0.9792
```

***

Record 4
Simulated powder X-ray diffraction pattern
Compound: ZnS
Radiation: Cu Kα, 1.54184 Å
Structure: a DFT-relaxed cell (GGA-PBE, the Materials Project)
Peak positions follow from Bragg's law for the DFT cell and can differ from measured ones.

Peak list (10 most intense, 10 to 90 degrees two-theta, in order of rising 2θ)
2θ 27.65, d 3.226, I = 87.4; 2θ 28.34, d 3.149, I = 74.9; 2θ 28.79, d 3.101, I = 100.0; 2θ 30.31, d 2.949, I = 24.1; 2θ 32.17, d 2.782, I = 21.7; 2θ 45.09, d 2.011, I = 28.5; 2θ 47.17, d 1.927, I = 91.1; 2θ 48.19, d 1.888, I = 46.2; 2θ 54.78, d 1.676, I = 20.4; 2θ 55.95, d 1.643, I = 61.1

Structural model:
```
ZnS
1.0
3.8534 0.0000 0.0000
-1.9267 3.3371 0.0000
0.0000 0.0000 25.1896
Zn S
8 8
direct
0.0000 0.0000 0.0000
0.0000 0.0000 0.5000
0.3333 0.6667 0.1250
0.3333 0.6667 0.3750
0.3333 0.6667 0.7500
0.6667 0.3333 0.2500
0.6667 0.3333 0.6250
0.6667 0.3333 0.8750
0.0000 0.0000 0.0938
0.0000 0.0000 0.5938
0.3333 0.6667 0.2187
0.3333 0.6667 0.4688
0.3333 0.6667 0.8438
0.6667 0.3333 0.3438
0.6667 0.3333 0.7187
0.6667 0.3333 0.9688
```

***

Record 5
Simulated powder X-ray diffraction pattern
Compound: ZnS
Radiation: Cu Kα, 1.54184 Å
Structure: a DFT-relaxed cell (GGA-PBE, the Materials Project)
Peak positions follow from Bragg's law for the DFT cell and can differ from measured ones.

Peak list (10 most intense, 10 to 90 degrees two-theta, in order of rising 2θ)
2θ 28.25, d 3.159, I = 100.0; 2θ 28.35, d 3.148, I = 52.5; 2θ 28.60, d 3.121, I = 31.3; 2θ 33.07, d 2.709, I = 14.9; 2θ 46.86, d 1.939, I = 39.3; 2θ 47.17, d 1.927, I = 63.9; 2θ 47.76, d 1.905, I = 13.7; 2θ 55.94, d 1.644, I = 56.3; 2θ 56.28, d 1.635, I = 13.1; 2θ 87.52, d 1.115, I = 12.2

Structural model:
```
ZnS
1.0
3.8532 0.0000 0.0000
-1.9266 3.3370 0.0000
0.0000 0.0000 88.1356
Zn S
28 28
direct
0.0000 0.0000 0.0000
0.0000 0.0000 0.0714
0.0000 0.0000 0.1786
0.0000 0.0000 0.2857
0.0000 0.0000 0.3929
0.0000 0.0000 0.5000
0.0000 0.0000 0.6071
0.0000 0.0000 0.7143
0.0000 0.0000 0.8214
0.0000 0.0000 0.9286
0.3333 0.6667 0.1071
0.3333 0.6667 0.2143
0.3333 0.6667 0.3214
0.3333 0.6667 0.4286
0.3333 0.6667 0.5357
0.3333 0.6667 0.6429
0.3333 0.6667 0.7500
0.3333 0.6667 0.8571
0.3333 0.6667 0.9643
0.6667 0.3333 0.0357
0.6667 0.3333 0.1429
0.6667 0.3333 0.2500
0.6667 0.3333 0.3571
0.6667 0.3333 0.4643
0.6667 0.3333 0.5714
0.6667 0.3333 0.6786
0.6667 0.3333 0.7857
0.6667 0.3333 0.8929
0.0000 0.0000 0.0268
0.0000 0.0000 0.0982
0.0000 0.0000 0.2054
0.0000 0.0000 0.3125
0.0000 0.0000 0.4196
0.0000 0.0000 0.5268
0.0000 0.0000 0.6339
0.0000 0.0000 0.7411
0.0000 0.0000 0.8482
0.0000 0.0000 0.9553
0.3333 0.6667 0.1339
0.3333 0.6667 0.2411
0.3333 0.6667 0.3482
0.3333 0.6667 0.4554
0.3333 0.6667 0.5625
0.3333 0.6667 0.6696
0.3333 0.6667 0.7768
0.3333 0.6667 0.8839
0.3333 0.6667 0.9911
0.6667 0.3333 0.0625
0.6667 0.3333 0.1696
0.6667 0.3333 0.2768
0.6667 0.3333 0.3839
0.6667 0.3333 0.4911
0.6667 0.3333 0.5982
0.6667 0.3333 0.7053
0.6667 0.3333 0.8125
0.6667 0.3333 0.9196
```